This entry pairs a crystal structure of Fe2H2O with its theoretical X-ray diffraction stick pattern. Radiation: Cu Kα, 1.54184 Å. Structure: a GGA+U-relaxed structure.
Kinematic intensities with the Lorentz-polarization factor, no thermal factor.

Atomic structure:
Cell: 2.9161 2.9161 9.9772 Å, 90.00 90.00 90.00°
Fractional positions:
Fe (0.0000, 0.0000, 0.1279)
Fe (0.0000, 0.0000, 0.8721)
Fe (0.5000, 0.5000, 0.3721)
Fe (0.5000, 0.5000, 0.6279)
H (0.0000, 0.5000, 0.2500)
H (0.0000, 0.5000, 0.7500)
H (0.5000, 0.0000, 0.2500)
H (0.5000, 0.0000, 0.7500)
O (0.0000, 0.0000, 0.5000)
O (0.5000, 0.5000, 0.0000)

Main lines, low angle first (2θ = 10–90°):
d_spacing, I/Imax
2.799, 809
2.494, 332
2.193, 1000
2.062, 656
1.647, 283
1.589, 342

=====

This entry pairs a crystal structure of FeHO2 with its theoretical X-ray diffraction stick pattern. Radiation: Cu Kα, 1.54184 Å. Structure: a GGA+U-relaxed structure.
Kinematic intensities with the Lorentz-polarization factor, no thermal factor.

Atomic structure:
Cell: 7.7512 7.7512 7.7512 Å, 92.26 92.26 157.07°
Fractional positions:
Fe (0.1558, 0.6799, 0.8358)
Fe (0.3201, 0.1558, 0.4759)
Fe (0.6799, 0.8442, 0.5241)
Fe (0.8442, 0.3201, 0.1642)
H (0.0459, 0.2285, 0.2744)
H (0.2285, 0.9541, 0.1826)
H (0.7715, 0.0459, 0.8174)
H (0.9541, 0.7715, 0.7256)
O (0.0405, 0.3202, 0.3606)
O (0.2964, 0.3423, 0.6387)
O (0.3202, 0.9595, 0.2797)
O (0.3423, 0.7036, 0.0459)
O (0.6577, 0.2964, 0.9541)
O (0.6798, 0.0405, 0.7203)
O (0.7036, 0.6577, 0.3613)
O (0.9595, 0.6798, 0.6394)

Main lines, low angle first (2θ = 10–90°):
d_spacing, I/Imax
7.597, 485
5.372, 1000
3.397, 363
2.594, 512
1.990, 403
1.474, 212